The following is a simulated XRD peak list of Ho6ZnRu2. It was derived from a cell relaxed with PBE, using a wavelength of 1.5418 Å.
Kinematic intensities with the Lorentz-polarization factor, no thermal factor.

Cell and atoms:
abc: 8.363 8.363 8.363
angles: 112.57 112.50 103.51
Positions (direct):
Ho1 0.047 0.243 0.804
Ho2 0.180 0.281 0.461
Ho3 0.180 0.719 0.899
Ho4 0.330 0.016 0.686
Ho5 0.330 0.643 0.314
Ho6 0.439 0.243 0.196
Ho7 0.561 0.757 0.804
Ho8 0.670 0.357 0.686
Ho9 0.670 0.984 0.314
Ho10 0.820 0.281 0.101
Ho11 0.820 0.719 0.539
Ho12 0.953 0.757 0.196
Zn1 0.000 0.000 0.000
Zn2 0.500 0.500 0.000
Ru1 0.128 0.628 0.500
Ru2 0.317 0.000 0.317
Ru3 0.683 0.000 0.683
Ru4 0.872 0.372 0.500

Main lines, by angle (2θ from 10° to 80°):
2θ 25.77, intensity 31.2; 2θ 30.44, intensity 39.8; 2θ 32.28, intensity 88.2; 2θ 33.77, intensity 58.8; 2θ 35.12, intensity 79.9; 2θ 35.92, intensity 100.0; 2θ 38.79, intensity 39.2; 2θ 39.09, intensity 32.1; 2θ 39.86, intensity 40.4; 2θ 60.85, intensity 33.9